Entry 1:
Structure and computed XRD peak list of LiNiP4O12 (DFT lattice parameters and positions (PBE+U); CuKα).
Lines closer than 0.1° are merged.

Main lines, low angle first (2θ = 10–90°):
- 2θ 12.60, I 67
- 2θ 12.99, I 100
- 2θ 14.18, I 22
- 2θ 21.96, I 19
- 2θ 23.97, I 23
- 2θ 24.19, I 63
- 2θ 25.35, I 42
- 2θ 26.55, I 18
- 2θ 31.72, I 33
- 2θ 33.35, I 16

Atomic structure:
a b c (Å): 5.076 13.626 7.087
angles (deg): 90.00 97.54 90.00
Sites, in units of the cell vectors:
Li  0.093  0.000  0.130
Li  0.907  0.500  0.870
Ni  0.011  0.227  0.509
Ni  0.989  0.727  0.491
P  0.273  0.812  0.884
P  0.353  0.162  0.899
P  0.480  0.587  0.453
P  0.498  0.867  0.537
P  0.502  0.367  0.463
P  0.520  0.087  0.547
P  0.647  0.662  0.101
P  0.727  0.312  0.116
O  0.101  0.740  0.761
O  0.108  0.201  0.776
O  0.144  0.893  0.978
O  0.205  0.594  0.508
O  0.226  0.358  0.515
O  0.286  0.803  0.427
O  0.302  0.105  0.069
O  0.317  0.158  0.449
O  0.399  0.979  0.497
O  0.454  0.753  0.048
O  0.471  0.594  0.226
O  0.499  0.855  0.763
O  0.501  0.355  0.237
O  0.529  0.094  0.774
O  0.546  0.253  0.952
O  0.601  0.479  0.503
O  0.683  0.658  0.551
O  0.698  0.605  0.931
O  0.714  0.303  0.573
O  0.774  0.858  0.485
O  0.795  0.094  0.492
O  0.856  0.393  0.022
O  0.892  0.701  0.224
O  0.899  0.240  0.239

Entry 2:
Structure and computed XRD peak list of Li9Mn2Co5O16 (DFT lattice parameters and positions (PBE+U); CuKα).
Lines closer than 0.1° are merged.

Main lines, low angle first (2θ = 10–90°):
- 2θ 18.27, I 100
- 2θ 35.63, I 13
- 2θ 36.03, I 26
- 2θ 43.17, I 26
- 2θ 43.58, I 55
- 2θ 47.56, I 9
- 2θ 57.37, I 10
- 2θ 62.80, I 21
- 2θ 63.21, I 13
- 2θ 63.92, I 8

Atomic structure:
a b c (Å): 8.383 2.913 11.848
angles (deg): 90.00 90.44 90.00
Sites, in units of the cell vectors:
Li  0.000  0.000  0.000
Li  0.000  0.000  0.245
Li  0.235  0.500  0.887
Li  0.244  0.500  0.370
Li  0.500  0.000  0.996
Li  0.504  0.000  0.505
Li  0.751  0.500  0.629
Li  0.766  0.500  0.119
Li  0.995  0.000  0.758
Mn  0.252  0.500  0.626
Mn  0.496  0.000  0.250
Co  0.226  0.500  0.119
Co  0.508  0.000  0.758
Co  0.753  0.500  0.377
Co  0.774  0.500  0.882
Co  0.999  0.000  0.499
O  0.013  0.500  0.131
O  0.020  0.500  0.615
O  0.250  0.000  0.735
O  0.256  0.000  0.010
O  0.258  0.000  0.515
O  0.269  0.000  0.247
O  0.484  0.500  0.634
O  0.496  0.500  0.142
O  0.500  0.500  0.362
O  0.500  0.500  0.865
O  0.733  0.000  0.260
O  0.743  0.000  0.756
O  0.745  0.000  0.991
O  0.746  0.000  0.492
O  0.989  0.500  0.873
O  0.993  0.500  0.384

Entry 3:
Structure and computed XRD peak list of Li2NiP4O12 (DFT lattice parameters and positions (PBE+U); CuKα).
Lines closer than 0.1° are merged.

Main lines, low angle first (2θ = 10–90°):
- 2θ 11.60, I 100
- 2θ 14.94, I 23
- 2θ 18.22, I 56
- 2θ 23.96, I 33
- 2θ 24.07, I 70
- 2θ 25.04, I 45
- 2θ 30.37, I 20
- 2θ 34.63, I 27
- 2θ 35.00, I 23
- 2θ 38.84, I 20

Atomic structure:
a b c (Å): 8.494 8.494 7.634
angles (deg): 97.25 97.25 113.74
Sites, in units of the cell vectors:
Li  0.017  0.316  0.250
Li  0.316  0.017  0.750
Li  0.684  0.983  0.250
Li  0.983  0.684  0.750
Ni  0.372  0.628  0.250
Ni  0.628  0.372  0.750
P  0.076  0.728  0.377
P  0.272  0.924  0.123
P  0.293  0.437  0.828
P  0.437  0.293  0.328
P  0.563  0.707  0.672
P  0.707  0.563  0.172
P  0.728  0.076  0.877
P  0.924  0.272  0.623
O  0.123  0.580  0.312
O  0.129  0.871  0.250
O  0.131  0.335  0.661
O  0.135  0.816  0.571
O  0.184  0.865  0.929
O  0.230  0.483  0.993
O  0.328  0.396  0.333
O  0.335  0.131  0.161
O  0.390  0.610  0.750
O  0.396  0.328  0.833
O  0.420  0.877  0.188
O  0.483  0.230  0.493
O  0.517  0.770  0.507
O  0.580  0.123  0.812
O  0.604  0.672  0.167
O  0.610  0.390  0.250
O  0.665  0.869  0.839
O  0.672  0.604  0.667
O  0.770  0.517  0.007
O  0.816  0.135  0.071
O  0.865  0.184  0.429
O  0.869  0.665  0.339
O  0.871  0.129  0.750
O  0.877  0.420  0.688

Entry 4:
Structure and computed XRD peak list of Sr2Ca6Co7CuO24 (DFT lattice parameters and positions (PBE+U); CuKα).
Lines closer than 0.1° are merged.

Main lines, low angle first (2θ = 10–90°):
- 2θ 23.34, I 9
- 2θ 33.24, I 100
- 2θ 41.02, I 5
- 2θ 47.63, I 15
- 2θ 47.77, I 30
- 2θ 59.40, I 36
- 2θ 69.78, I 20
- 2θ 79.38, I 5
- 2θ 79.60, I 10
- 2θ 88.97, I 8

Atomic structure:
a b c (Å): 7.636 7.616 7.616
angles (deg): 90.01 90.00 90.00
Sites, in units of the cell vectors:
Sr  0.249  0.000  0.000
Sr  0.751  0.000  0.000
Ca  0.248  0.000  0.502
Ca  0.248  0.502  0.000
Ca  0.248  0.502  0.502
Ca  0.752  0.000  0.502
Ca  0.752  0.502  0.000
Ca  0.752  0.502  0.502
Co  0.000  0.252  0.252
Co  0.000  0.252  0.749
Co  0.000  0.749  0.252
Co  0.500  0.252  0.252
Co  0.500  0.252  0.749
Co  0.500  0.749  0.252
Co  0.500  0.749  0.749
Cu  0.000  0.750  0.750
O  0.000  0.002  0.257
O  0.000  0.005  0.744
O  0.000  0.253  0.499
O  0.000  0.257  0.002
O  0.000  0.497  0.750
O  0.000  0.499  0.253
O  0.000  0.744  0.005
O  0.000  0.750  0.497
O  0.246  0.254  0.254
O  0.252  0.254  0.747
O  0.252  0.747  0.254
O  0.254  0.747  0.747
O  0.500  0.001  0.255
O  0.500  0.003  0.744
O  0.500  0.253  0.501
O  0.500  0.255  0.001
O  0.500  0.498  0.750
O  0.500  0.501  0.253
O  0.500  0.744  0.003
O  0.500  0.750  0.498
O  0.746  0.747  0.747
O  0.748  0.254  0.747
O  0.748  0.747  0.254
O  0.754  0.254  0.254

Entry 5:
Structure and computed XRD peak list of Mo3P3O16 (DFT lattice parameters and positions (PBE+U); CuKα).
Lines closer than 0.1° are merged.

Main lines, low angle first (2θ = 10–90°):
- 2θ 14.44, I 60
- 2θ 19.32, I 72
- 2θ 19.54, I 44
- 2θ 20.25, I 91
- 2θ 20.88, I 65
- 2θ 21.50, I 100
- 2θ 22.99, I 84
- 2θ 23.16, I 57
- 2θ 25.40, I 43
- 2θ 29.40, I 93

Atomic structure:
a b c (Å): 6.493 7.891 12.837
angles (deg): 80.54 77.25 81.86
Sites, in units of the cell vectors:
Mo  0.031  0.199  0.153
Mo  0.207  0.215  0.529
Mo  0.400  0.753  0.161
Mo  0.600  0.247  0.839
Mo  0.793  0.785  0.471
Mo  0.969  0.801  0.847
P  0.054  0.487  0.316
P  0.310  0.850  0.423
P  0.442  0.844  0.892
P  0.558  0.156  0.108
P  0.690  0.150  0.577
P  0.946  0.513  0.684
O  0.039  0.645  0.734
O  0.064  0.287  0.021
O  0.104  0.770  0.480
O  0.121  0.979  0.156
O  0.137  0.405  0.620
O  0.165  0.611  0.218
O  0.180  0.049  0.632
O  0.207  0.400  0.388
O  0.278  0.817  0.826
O  0.282  0.048  0.417
O  0.338  0.238  0.160
O  0.369  0.758  0.009
O  0.378  0.807  0.307
O  0.393  0.402  0.841
O  0.440  0.041  0.892
O  0.486  0.766  0.486
O  0.514  0.234  0.514
O  0.560  0.959  0.108
O  0.607  0.598  0.159
O  0.622  0.193  0.693
O  0.631  0.242  0.991
O  0.662  0.762  0.840
O  0.718  0.952  0.583
O  0.722  0.183  0.174
O  0.793  0.600  0.612
O  0.820  0.951  0.368
O  0.835  0.389  0.782
O  0.863  0.595  0.380
O  0.879  0.021  0.844
O  0.896  0.230  0.520
O  0.936  0.713  0.979
O  0.961  0.355  0.266

Entry 6:
Structure and computed XRD peak list of MgMnSbO4 (DFT lattice parameters and positions (PBE+U); CuKα).
Lines closer than 0.1° are merged.

Main lines, low angle first (2θ = 10–90°):
- 2θ 16.88, I 47
- 2θ 17.51, I 100
- 2θ 32.15, I 20
- 2θ 32.35, I 38
- 2θ 33.78, I 29
- 2θ 39.37, I 35
- 2θ 40.03, I 68
- 2θ 56.51, I 32
- 2θ 58.28, I 20
- 2θ 59.26, I 16

Atomic structure:
a b c (Å): 5.441 3.256 5.643
angles (deg): 90.00 111.47 90.00
Sites, in units of the cell vectors:
Mg  0.000  0.000  0.000
Mn  0.500  0.000  0.500
Sb  0.500  0.500  0.000
O  0.261  0.500  0.227
O  0.268  0.000  0.788
O  0.732  0.000  0.212
O  0.739  0.500  0.773

Entry 7:
Structure and computed XRD peak list of SrV4O10 (DFT lattice parameters and positions (PBE+U); CuKα).
Lines closer than 0.1° are merged.

Main lines, low angle first (2θ = 10–90°):
- 2θ 16.25, I 24
- 2θ 17.47, I 48
- 2θ 25.12, I 24
- 2θ 26.78, I 100
- 2θ 29.59, I 86
- 2θ 31.89, I 44
- 2θ 32.13, I 48
- 2θ 34.12, I 38
- 2θ 45.53, I 35
- 2θ 48.77, I 47

Atomic structure:
a b c (Å): 6.269 7.468 9.062
angles (deg): 89.96 87.92 72.55
Sites, in units of the cell vectors:
Sr  0.182  0.207  0.013
Sr  0.818  0.793  0.987
V  0.121  0.965  0.661
V  0.137  0.471  0.660
V  0.457  0.381  0.340
V  0.473  0.887  0.335
V  0.527  0.113  0.665
V  0.543  0.619  0.660
V  0.863  0.529  0.340
V  0.879  0.035  0.339
O  0.079  0.496  0.845
O  0.087  0.961  0.846
O  0.155  0.966  0.397
O  0.174  0.452  0.411
O  0.200  0.192  0.650
O  0.207  0.705  0.629
O  0.432  0.365  0.161
O  0.446  0.918  0.151
O  0.470  0.878  0.604
O  0.472  0.388  0.634
O  0.528  0.612  0.366
O  0.530  0.122  0.396
O  0.554  0.082  0.849
O  0.568  0.635  0.839
O  0.793  0.295  0.371
O  0.800  0.808  0.350
O  0.826  0.548  0.589
O  0.845  0.034  0.603
O  0.913  0.039  0.154
O  0.921  0.504  0.155

Entry 8:
Structure and computed XRD peak list of MgMn8O13F3 (DFT lattice parameters and positions (PBE+U); CuKα).
Lines closer than 0.1° are merged.

Main lines, low angle first (2θ = 10–90°):
- 2θ 24.03, I 100
- 2θ 25.10, I 86
- 2θ 29.77, I 84
- 2θ 30.05, I 69
- 2θ 30.63, I 80
- 2θ 30.94, I 73
- 2θ 35.52, I 48
- 2θ 36.06, I 45
- 2θ 36.57, I 38
- 2θ 53.17, I 86

Atomic structure:
a b c (Å): 5.678 6.912 6.912
angles (deg): 94.03 91.03 92.36
Sites, in units of the cell vectors:
Mg  0.000  0.000  0.000
Mn  0.043  0.276  0.263
Mn  0.081  0.731  0.728
Mn  0.268  0.768  0.264
Mn  0.278  0.244  0.735
Mn  0.515  0.028  0.020
Mn  0.606  0.503  0.495
Mn  0.765  0.004  0.494
Mn  0.765  0.509  0.995
O  0.024  0.211  0.532
O  0.024  0.808  0.471
O  0.026  0.300  0.980
O  0.027  0.713  0.018
O  0.263  0.054  0.202
O  0.265  0.980  0.809
O  0.504  0.757  0.065
O  0.511  0.292  0.949
O  0.533  0.781  0.460
O  0.541  0.227  0.544
O  0.781  0.074  0.212
O  0.807  0.467  0.272
O  0.807  0.556  0.722
F  0.301  0.472  0.306
F  0.322  0.523  0.693
F  0.752  0.968  0.804

Entry 9:
Structure and computed XRD peak list of Cr2O5 (DFT lattice parameters and positions (PBE+U); CuKα).
Lines closer than 0.1° are merged.

Main lines, low angle first (2θ = 10–90°):
- 2θ 16.06, I 37
- 2θ 18.52, I 100
- 2θ 20.21, I 38
- 2θ 25.79, I 65
- 2θ 30.64, I 38
- 2θ 30.87, I 36
- 2θ 32.45, I 24
- 2θ 34.68, I 29
- 2θ 45.37, I 26
- 2θ 50.17, I 21

Atomic structure:
a b c (Å): 3.637 11.037 4.791
angles (deg): 90.00 90.00 90.00
Sites, in units of the cell vectors:
Cr  0.250  0.097  0.117
Cr  0.250  0.403  0.117
Cr  0.750  0.597  0.883
Cr  0.750  0.903  0.883
O  0.250  0.103  0.447
O  0.250  0.250  0.992
O  0.250  0.397  0.447
O  0.250  0.569  0.993
O  0.250  0.931  0.993
O  0.750  0.069  0.007
O  0.750  0.431  0.007
O  0.750  0.603  0.553
O  0.750  0.750  0.008
O  0.750  0.897  0.553